[1]
For Ac14DyEr, a cell relaxed with PBE gives the calculated X-ray diffraction stick pattern in this record (Cu Kα).
Lines closer than 0.1° are merged.

Structural model:
Lattice parameters (Å, degrees): 7.862 7.862 11.178 90.00 90.00 90.04
Sites, in units of the cell vectors:
Ac 0.000 0.000 0.000
Ac 0.000 0.500 0.000
Ac 0.000 0.500 0.500
Ac 0.250 0.250 0.257
Ac 0.250 0.250 0.743
Ac 0.250 0.750 0.257
Ac 0.250 0.750 0.743
Ac 0.500 0.000 0.000
Ac 0.500 0.000 0.500
Ac 0.500 0.500 0.000
Ac 0.750 0.250 0.257
Ac 0.750 0.250 0.743
Ac 0.750 0.750 0.257
Ac 0.750 0.750 0.743
Dy 0.000 0.000 0.500
Er 0.500 0.500 0.500

The 10 most intense peaks (10 to 90 degrees two-theta), in order of falling intensity:
2theta  I_rel
27.75  1000
32.21  344
54.74  315
46.06  257
32.03  172
54.51  155
57.31  136
46.19  129
74.16  126
85.50  92

***

[2]
For Sr3Zn4Rh4, a cell relaxed with PBE gives the calculated X-ray diffraction stick pattern in this record (Cu Kα).
Lines closer than 0.1° are merged.

Structural model:
Lattice parameters (Å, degrees): 6.770 6.770 6.770 109.47 109.47 109.47
Sites, in units of the cell vectors:
Sr 0.000 0.500 0.500
Sr 0.500 0.000 0.500
Sr 0.500 0.500 0.000
Zn 0.000 0.000 0.388
Zn 0.000 0.388 0.000
Zn 0.388 0.000 0.000
Zn 0.612 0.612 0.612
Rh 0.000 0.000 0.753
Rh 0.000 0.753 0.000
Rh 0.247 0.247 0.247
Rh 0.753 0.000 0.000

The 10 most intense peaks (10 to 90 degrees two-theta), in order of falling intensity:
2theta  I_rel
36.34  1000
32.39  883
43.31  766
16.03  707
49.47  584
67.81  260
81.71  250
39.95  243
74.88  238
27.96  195

***

[3]
For Pm2AlZn6, a cell relaxed with PBE gives the calculated X-ray diffraction stick pattern in this record (Cu Kα).
Lines closer than 0.1° are merged.

Structural model:
Lattice parameters (Å, degrees): 5.812 5.812 5.862 90.00 90.00 120.00
Sites, in units of the cell vectors:
Pm 0.333 0.667 0.151
Pm 0.667 0.333 0.849
Al 0.000 0.000 0.000
Zn 0.178 0.356 0.659
Zn 0.178 0.822 0.659
Zn 0.356 0.178 0.341
Zn 0.644 0.822 0.659
Zn 0.822 0.178 0.341
Zn 0.822 0.644 0.341

The 10 most intense peaks (10 to 90 degrees two-theta), in order of falling intensity:
2theta  I_rel
38.95  1000
35.44  694
34.45  390
35.68  262
57.78  233
64.09  218
23.29  188
56.77  187
75.42  134
50.43  133

***

[4]
For Nb3InH, a cell relaxed with PBE gives the calculated X-ray diffraction stick pattern in this record (Cu Kα).
Lines closer than 0.1° are merged.

Structural model:
Lattice parameters (Å, degrees): 5.646 5.696 5.881 101.00 99.48 117.06
Sites, in units of the cell vectors:
Nb 0.000 0.000 0.000
Nb 0.002 0.998 0.501
Nb 0.482 0.970 0.732
Nb 0.488 0.966 0.258
Nb 0.964 0.470 0.735
Nb 0.977 0.496 0.250
In 0.485 0.483 0.441
In 0.487 0.486 0.941
H 0.236 0.852 0.936
H 0.734 0.113 0.059

The 10 most intense peaks (10 to 90 degrees two-theta), in order of falling intensity:
2theta  I_rel
37.21  1000
37.35  258
37.70  229
67.28  161
54.12  155
67.72  104
53.17  80
66.77  78
79.25  51
66.94  43

***

[5]
For CeCuGe2, a cell relaxed with PBE gives the calculated X-ray diffraction stick pattern in this record (Cu Kα).
Lines closer than 0.1° are merged.

Structural model:
Lattice parameters (Å, degrees): 4.304 4.285 8.731 90.00 104.27 90.00
Sites, in units of the cell vectors:
Ce 0.105 0.250 0.211
Ce 0.895 0.750 0.789
Cu 0.324 0.250 0.645
Cu 0.676 0.750 0.355
Ge 0.248 0.750 0.498
Ge 0.461 0.250 0.924
Ge 0.539 0.750 0.076
Ge 0.752 0.250 0.502

The 10 most intense peaks (10 to 90 degrees two-theta), in order of falling intensity:
2theta  I_rel
33.52  1000
33.69  404
41.99  303
42.18  299
38.20  265
61.03  195
29.90  195
55.04  194
58.05  153
47.96  150

***

[6]
For Tb4In2C, a cell relaxed with PBE gives the calculated X-ray diffraction stick pattern in this record (Cu Kα).
Lines closer than 0.1° are merged.

Structural model:
Lattice parameters (Å, degrees): 6.344 3.573 8.605 90.00 108.30 90.00
Sites, in units of the cell vectors:
Tb 0.132 0.000 0.282
Tb 0.363 0.500 0.642
Tb 0.637 0.500 0.358
Tb 0.868 0.000 0.718
In 0.257 0.500 0.998
In 0.743 0.500 0.002
C 0.500 0.000 0.500

The 10 most intense peaks (10 to 90 degrees two-theta), in order of falling intensity:
2theta  I_rel
32.74  1000
33.57  908
34.83  763
29.06  740
32.89  719
30.86  678
33.31  591
58.33  395
63.33  378
40.07  350

***

[7]
For Ba2PaPN5, a cell relaxed with PBE gives the calculated X-ray diffraction stick pattern in this record (Cu Kα).
Lines closer than 0.1° are merged.

Structural model:
Lattice parameters (Å, degrees): 7.579 7.579 12.359 90.00 90.00 152.61
Sites, in units of the cell vectors:
Ba 0.098 0.902 0.500
Ba 0.141 0.859 0.180
Ba 0.859 0.141 0.680
Ba 0.902 0.098 0.000
Pa 0.191 0.809 0.884
Pa 0.809 0.191 0.384
P 0.437 0.563 0.247
P 0.563 0.437 0.747
N 0.041 0.959 0.826
N 0.299 0.701 0.491
N 0.327 0.673 0.852
N 0.328 0.672 0.252
N 0.497 0.503 0.142
N 0.503 0.497 0.642
N 0.672 0.328 0.752
N 0.673 0.327 0.352
N 0.701 0.299 0.991
N 0.959 0.041 0.326

The 10 most intense peaks (10 to 90 degrees two-theta), in order of falling intensity:
2theta  I_rel
33.67  1000
24.76  834
25.24  523
30.86  444
50.86  389
31.72  356
18.75  352
25.55  328
12.02  277
42.30  248

***

[8]
For Sr3SnGe4, a cell relaxed with PBE gives the calculated X-ray diffraction stick pattern in this record (Cu Kα).
Lines closer than 0.1° are merged.

Structural model:
Lattice parameters (Å, degrees): 9.233 9.233 9.233 150.17 141.14 49.75
Sites, in units of the cell vectors:
Sr 0.000 0.000 0.000
Sr 0.311 0.811 0.500
Sr 0.689 0.189 0.500
Sn 0.500 0.500 0.000
Ge 0.070 0.375 0.695
Ge 0.321 0.625 0.695
Ge 0.679 0.375 0.305
Ge 0.930 0.625 0.305

The 10 most intense peaks (10 to 90 degrees two-theta), in order of falling intensity:
2theta  I_rel
25.98  1000
32.01  613
38.44  405
37.86  385
36.27  372
32.70  287
19.41  286
66.87  274
53.43  246
30.39  215

***

[9]
For Zn5P6H18O30, a cell relaxed with PBE gives the calculated X-ray diffraction stick pattern in this record (Cu Kα).
Lines closer than 0.1° are merged.

Structural model:
Lattice parameters (Å, degrees): 8.444 10.024 10.165 112.44 98.09 111.67
Sites, in units of the cell vectors:
Zn 0.000 0.000 0.000
Zn 0.059 0.236 0.668
Zn 0.433 0.566 0.334
Zn 0.567 0.434 0.666
Zn 0.941 0.764 0.332
P 0.126 0.368 0.019
P 0.238 0.491 0.564
P 0.314 0.078 0.561
P 0.686 0.922 0.439
P 0.762 0.509 0.436
P 0.874 0.632 0.981
H 0.054 0.534 0.893
H 0.124 0.657 0.556
H 0.165 0.057 0.283
H 0.193 0.227 0.291
H 0.210 0.851 0.931
H 0.319 0.037 0.966
H 0.420 0.905 0.563
H 0.461 0.711 0.882
H 0.493 0.762 0.052
H 0.507 0.238 0.948
H 0.539 0.289 0.118
H 0.580 0.095 0.437
H 0.681 0.963 0.034
H 0.790 0.149 0.069
H 0.807 0.773 0.709
H 0.835 0.943 0.717
H 0.876 0.343 0.444
H 0.946 0.466 0.107
O 0.026 0.629 0.908
O 0.059 0.353 0.548
O 0.083 0.384 0.874
O 0.130 0.208 0.986
O 0.167 0.963 0.403
O 0.176 0.116 0.223
O 0.196 0.941 0.925
O 0.227 0.655 0.618
O 0.252 0.175 0.679
O 0.267 0.438 0.409
O 0.312 0.511 0.128
O 0.374 0.978 0.625
O 0.397 0.526 0.690
O 0.479 0.197 0.540
O 0.483 0.801 0.979
O 0.517 0.199 0.021
O 0.521 0.803 0.460
O 0.603 0.474 0.310
O 0.626 0.022 0.375
O 0.688 0.489 0.872
O 0.733 0.562 0.591
O 0.748 0.825 0.321
O 0.773 0.345 0.382
O 0.804 0.059 0.075
O 0.824 0.884 0.777
O 0.833 0.037 0.597
O 0.870 0.792 0.014
O 0.917 0.616 0.126
O 0.941 0.647 0.452
O 0.974 0.371 0.092

The 10 most intense peaks (10 to 90 degrees two-theta), in order of falling intensity:
2theta  I_rel
11.82  1000
17.89  820
17.68  695
22.30  553
23.76  362
30.20  356
10.74  329
26.28  316
26.73  291
19.66  274

***

[10]
For K2NaInF6, a cell relaxed with PBE gives the calculated X-ray diffraction stick pattern in this record (Cu Kα).
Lines closer than 0.1° are merged.

Structural model:
Lattice parameters (Å, degrees): 6.163 6.163 6.163 60.00 60.00 60.00
Sites, in units of the cell vectors:
K 0.250 0.250 0.250
K 0.750 0.750 0.750
Na 0.000 0.000 0.000
In 0.500 0.500 0.500
F 0.259 0.259 0.741
F 0.259 0.741 0.259
F 0.259 0.741 0.741
F 0.741 0.259 0.259
F 0.741 0.259 0.741
F 0.741 0.741 0.259

The 10 most intense peaks (10 to 90 degrees two-theta), in order of falling intensity:
2theta  I_rel
28.97  1000
17.62  645
41.44  616
51.35  381
60.04  352
20.38  345
34.12  310
82.89  188
68.03  164
46.60  155

***

[11]
For Hf2CoPt9, a cell relaxed with PBE gives the calculated X-ray diffraction stick pattern in this record (Cu Kα).
Lines closer than 0.1° are merged.

Structural model:
Lattice parameters (Å, degrees): 3.989 3.989 11.961 90.00 90.00 90.00
Sites, in units of the cell vectors:
Hf 0.000 0.000 0.173
Hf 0.000 0.000 0.827
Co 0.000 0.000 0.500
Pt 0.000 0.500 0.000
Pt 0.000 0.500 0.339
Pt 0.000 0.500 0.661
Pt 0.500 0.000 0.000
Pt 0.500 0.000 0.339
Pt 0.500 0.000 0.661
Pt 0.500 0.500 0.169
Pt 0.500 0.500 0.500
Pt 0.500 0.500 0.831

The 10 most intense peaks (10 to 90 degrees two-theta), in order of falling intensity:
2theta  I_rel
39.12  1000
45.48  491
79.74  382
66.28  320
84.07  112
22.29  17
31.73  15
35.18  11
26.86  10
23.51  9

***

[12]
For Ho4CdTe3, a cell relaxed with PBE gives the calculated X-ray diffraction stick pattern in this record (Cu Kα).
Lines closer than 0.1° are merged.

Structural model:
Lattice parameters (Å, degrees): 7.606 7.606 4.202 90.00 90.00 107.84
Sites, in units of the cell vectors:
Ho 0.241 0.241 0.500
Ho 0.243 0.757 0.000
Ho 0.757 0.243 0.000
Ho 0.759 0.759 0.500
Cd 0.000 0.000 0.000
Te 0.000 0.500 0.500
Te 0.500 0.000 0.500
Te 0.500 0.500 0.000

The 10 most intense peaks (10 to 90 degrees two-theta), in order of falling intensity:
2theta  I_rel
29.11  1000
41.62  503
50.42  143
40.27  138
52.78  126
43.05  116
68.41  113
68.27  112
74.12  88
60.41  83